# MgMoWS4
Theoretical PXRD pattern, Cu Kα. Input: a crystal structure in the Materials Project, relaxed with PBE.
Lines closer than 0.1° are merged.

Largest 6 diffraction maxima, by angle, 10° ≤ 2θ ≤ 90°:
hkl, Position (°2θ), d (Å), I (rel.)
0 0 4, 12.5, 7.077, 80
0 0 6, 18.8, 4.718, 50
0 1 4, 34.8, 2.579, 53
1 0 5, 36.1, 2.488, 76
0 1 8, 41.4, 2.181, 100
1 0 11, 48.3, 1.885, 59

Cell: 3.1985 3.1985 28.3063 Å, 90.00 90.00 120.00°
Space group P3m1 (No. 156)
One atom of each set of equivalent atoms:
Mg1 0.0000 0.0000 0.0000 [1 per cell]
Mo1 0.0000 0.0000 0.8392 [1 per cell]
W1 0.3333 0.6667 0.1572 [1 per cell]
S1 0.0000 0.0000 0.1015 [1 per cell]
S2 0.0000 0.0000 0.2127 [1 per cell]
S3 0.3333 0.6667 0.7842 [1 per cell]
S4 0.3333 0.6667 0.8945 [1 per cell]



# BaSr3Ti4O12
Theoretical PXRD pattern, Cu Kα. Input: a crystal structure in the Materials Project, relaxed with PBE.
Lines closer than 0.1° are merged.

Largest 6 diffraction maxima, by angle, 10° ≤ 2θ ≤ 90°:
hkl, Position (°2θ), d (Å), I (rel.)
1 1 0, 31.9, 2.806, 100
1 1 4, 39.3, 2.291, 22
2 0 0, 45.7, 1.984, 39
2 1 4, 56.8, 1.620, 38
2 2 0, 66.7, 1.403, 23
3 1 0, 75.8, 1.255, 16

Cell: 3.9684 3.9684 15.8764 Å, 90.00 90.00 90.00°
Space group P4/mmm (No. 123)
One atom of each set of equivalent atoms:
Ba1 0.0000 0.0000 0.0000 [1 per cell]
Sr1 0.0000 0.0000 0.2509 [2 per cell]
Sr2 0.0000 0.0000 0.5000 [1 per cell]
Ti1 0.5000 0.5000 0.1282 [2 per cell]
Ti2 0.5000 0.5000 0.3754 [2 per cell]
O1 0.0000 0.5000 0.1297 [4 per cell]
O2 0.0000 0.5000 0.3752 [4 per cell]
O3 0.5000 0.5000 0.0000 [1 per cell]
O4 0.5000 0.5000 0.2514 [2 per cell]
O5 0.5000 0.5000 0.5000 [1 per cell]



# Zn2SnSbO6
Theoretical PXRD pattern, Cu Kα. Input: a crystal structure in the Materials Project, relaxed with PBE.
Lines closer than 0.1° are merged.

Largest 6 diffraction maxima, by angle, 10° ≤ 2θ ≤ 90°:
hkl, Position (°2θ), d (Å), I (rel.)
1 2 -1, 32.2, 2.782, 100
2 0 0, 33.0, 2.713, 47
0 4 0, 44.9, 2.020, 13
2 4 0, 56.8, 1.620, 24
1 2 3, 58.4, 1.579, 46
2 4 -2, 67.3, 1.391, 13

Cell: 5.4250 8.0786 5.4274 Å, 90.00 90.12 90.00°
Space group P2_1/m (No. 11)
One atom of each set of equivalent atoms:
Zn1 0.0226 0.2500 0.4910 [2 per cell]
Zn2 0.4721 0.7500 0.9877 [2 per cell]
Sn1 0.0000 0.0000 0.0000 [2 per cell]
Sb1 0.5000 0.0000 0.5000 [2 per cell]
O1 0.0985 0.7500 0.8713 [2 per cell]
O2 0.1692 0.5717 0.3317 [4 per cell]
O3 0.3288 0.0724 0.8361 [4 per cell]
O4 0.4071 0.2500 0.3807 [2 per cell]



# Zn3P2O12
Theoretical PXRD pattern, Cu Kα. Input: a crystal structure in the Materials Project, relaxed with PBE.
Lines closer than 0.1° are merged.

Largest 6 diffraction maxima, by angle, 10° ≤ 2θ ≤ 90°:
hkl, Position (°2θ), d (Å), I (rel.)
0 0 1, 12.0, 7.386, 85
1 0 0, 17.1, 5.181, 82
1 0 1, 23.4, 3.796, 81
-1 1 1, 24.3, 3.664, 78
1 1 -2, 28.6, 3.126, 100
2 0 -1, 33.5, 2.675, 96

Cell: 5.3734 5.8726 7.7422 Å, 98.43 104.92 91.50°
Space group P-1 (No. 2)
One atom of each set of equivalent atoms:
Zn1 0.0000 0.0000 0.0000 [1 per cell]
Zn2 0.1306 0.7251 0.3956 [2 per cell]
P1 0.2782 0.2342 0.3691 [2 per cell]
O1 0.1456 0.9906 0.2424 [2 per cell]
O2 0.1667 0.4224 0.2558 [2 per cell]
O3 0.1977 0.2432 0.5459 [2 per cell]
O4 0.3686 0.7393 0.9524 [2 per cell]
O5 0.4060 0.2483 0.9547 [2 per cell]
O6 0.4315 0.7786 0.6030 [2 per cell]



# Sr3Tl2O6
Theoretical PXRD pattern, Cu Kα. Input: a crystal structure in the Materials Project, relaxed with PBE.
Lines closer than 0.1° are merged.

Largest 6 diffraction maxima, by angle, 10° ≤ 2θ ≤ 90°:
hkl, Position (°2θ), d (Å), I (rel.)
4 0 0, 29.7, 3.004, 45
2 5 0, 29.9, 2.990, 100
1 3 1, 30.7, 2.917, 65
3 2 1, 35.5, 2.531, 68
1 8 1, 50.2, 1.817, 39
2 5 2, 61.0, 1.520, 45

Cell: 12.0228 17.2329 3.5286 Å, 90.00 90.00 90.00°
Space group Pbam (No. 55)
One atom of each set of equivalent atoms:
Sr1 0.0963 0.1462 0.0000 [4 per cell]
Sr2 0.1329 0.5410 0.0000 [4 per cell]
Sr3 0.1747 0.7744 0.0000 [4 per cell]
Tl1 0.0911 0.3527 0.5000 [4 per cell]
Tl2 0.1319 0.9577 0.5000 [4 per cell]
O1 0.0000 0.0000 0.0000 [2 per cell]
O2 0.0000 0.5000 0.5000 [2 per cell]
O3 0.0272 0.6697 0.0000 [4 per cell]
O4 0.0613 0.8462 0.5000 [4 per cell]
O5 0.1862 0.2387 0.5000 [4 per cell]
O6 0.2130 0.0656 0.5000 [4 per cell]
O7 0.2130 0.4035 0.0000 [4 per cell]



# La2MgCuO4
Theoretical PXRD pattern, Cu Kα. Input: a crystal structure in the Materials Project, relaxed with PBE.
Lines closer than 0.1° are merged.

Largest 6 diffraction maxima, by angle, 10° ≤ 2θ ≤ 90°:
hkl, Position (°2θ), d (Å), I (rel.)
0 0 4, 17.2, 5.165, 30
1 1 1, 26.0, 3.422, 26
1 1 3, 28.8, 3.099, 63
1 1 5, 33.7, 2.657, 100
2 2 0, 52.8, 1.735, 23
3 1 5, 64.7, 1.441, 26

Cell: 4.8555 4.9602 20.6605 Å, 90.00 90.00 90.00°
Space group F222 (No. 22)
One atom of each set of equivalent atoms:
La1 0.0000 0.0000 0.1183 [8 per cell]
Mg1 0.2500 0.2500 0.2500 [4 per cell]
Cu1 0.0000 0.0000 0.5000 [4 per cell]
O1 0.0000 0.0000 0.3077 [8 per cell]
O2 0.2500 0.2500 0.5508 [8 per cell]